Record 1
Structure and simulated powder diffraction line list of MgCo4O8 (the GGA+U geometry in the Materials Project; Cu Kα (λ = 1.5418 Å)).
Intensities are scaled so that the largest is 1000.

Cell and atoms:
a = 9.8796 Å, b = 5.7025 Å, c = 5.8094 Å
α = 90.00°, β = 124.44°, γ = 90.00°
Space group Cm (No. 8)
One atom of each set of equivalent atoms:
1 Mg 0.0000 0.0000 0.0000 x2
2 Co 0.1225 0.5000 0.3650 x2
3 Co 0.2428 0.0000 0.7300 x2
4 Co 0.3707 0.2517 0.3648 x4
5 O 0.0998 0.2664 0.5672 x4
6 O 0.1453 0.2717 0.1645 x4
7 O 0.3599 0.5000 0.5810 x2
8 O 0.3660 0.0000 0.5668 x2
9 O 0.3739 0.5000 0.1648 x2
10 O 0.3821 0.0000 0.1466 x2

Peak list (10 most intense, 10 to 80 degrees two-theta, low angle first)
d_spacing  Position (°2θ)  I (rel.)  hkl
4.791  18.52  1000  0 0 1
4.071  21.83  368  1 1 -1
2.906  30.77  672  1 1 1
2.485  36.15  256  2 0 1
2.450  36.67  559  3 1 -2
2.434  36.93  989  2 2 -1
2.035  44.52  447  2 2 -2
1.579  58.45  391  4 0 1
1.453  64.09  376  4 0 -4
1.426  65.46  403  0 4 0

Record 2
Structure and simulated powder diffraction line list of LiFe4B4O12 (the GGA+U geometry in the Materials Project; Cu Kα (λ = 1.5418 Å)).
Intensities are scaled so that the largest is 1000.

Cell and atoms:
a = 5.3119 Å, b = 9.0452 Å, c = 11.4201 Å
α = 66.79°, β = 76.68°, γ = 89.83°
Space group P1 (No. 1)
One atom of each set of equivalent atoms:
1 Li 0.0000 0.0000 0.0000 x1
2 Li 0.2508 0.2414 0.4939 x1
3 Fe 0.1582 0.5273 0.2789 x1
4 Fe 0.2165 0.8873 0.5288 x1
5 Fe 0.4183 0.4397 0.7801 x1
6 Fe 0.4720 0.8145 0.0311 x1
7 Fe 0.6657 0.0195 0.2789 x1
8 Fe 0.7204 0.3931 0.5328 x1
9 Fe 0.9014 0.9331 0.7816 x1
10 Fe 0.9701 0.3219 0.0298 x1
11 B 0.1629 0.1822 0.2843 x1
12 B 0.2159 0.5562 0.5318 x1
13 B 0.4163 0.7758 0.7762 x1
14 B 0.4570 0.1516 0.0293 x1
15 B 0.6710 0.6872 0.2778 x1
16 B 0.7056 0.0613 0.5275 x1
17 B 0.9143 0.2699 0.7904 x1
18 B 0.9691 0.6490 0.0303 x1
19 O 0.9996 0.1226 0.8023 x1
20 O 0.0375 0.3670 0.8350 x1
21 O 0.1112 0.6983 0.5190 x1
22 O 0.1272 0.4527 0.4821 x1
23 O 0.1731 0.6374 0.0883 x1
24 O 0.2005 0.8288 0.7224 x1
25 O 0.2359 0.3095 0.3065 x1
26 O 0.2857 0.0390 0.3257 x1
27 O 0.3404 0.0200 0.0286 x1
28 O 0.3534 0.3010 0.9882 x1
29 O 0.4162 0.5098 0.5933 x1
30 O 0.4493 0.6825 0.2355 x1
31 O 0.5082 0.6344 0.7855 x1
32 O 0.5341 0.8769 0.8179 x1
33 O 0.5831 0.1896 0.5312 x1
34 O 0.6059 0.9561 0.4806 x1
35 O 0.6917 0.1428 0.0724 x1
36 O 0.7056 0.3220 0.7384 x1
37 O 0.7784 0.8323 0.2654 x1
38 O 0.7898 0.5476 0.3272 x1
39 O 0.8570 0.5186 0.0237 x1
40 O 0.8808 0.8036 0.9764 x1
41 O 0.9402 0.0271 0.5704 x1
42 O 0.9560 0.1854 0.2261 x1

Peak list (10 most intense, 10 to 80 degrees two-theta, low angle first)
d_spacing  Position (°2θ)  I (rel.)  hkl
4.580  19.38  566  1 -1 0
4.523  19.63  1000  0 2 1
4.174  21.29  595  1 1 2
4.169  21.31  556  1 -1 1
4.132  21.51  644  0 2 0
3.408  26.15  869  1 1 -1
3.397  26.24  632  1 1 3
2.622  34.20  746  -1 3 1
2.541  35.32  995  0 0 4
1.856  49.09  440  1 -1 5

Record 3
Structure and simulated powder diffraction line list of Rb2NaCoF6 (the GGA+U geometry in the Materials Project; Cu Kα (λ = 1.5418 Å)).
Intensities are scaled so that the largest is 1000.

Cell and atoms:
a = 8.4660 Å, b = 8.4660 Å, c = 8.4660 Å
α = 90.00°, β = 90.00°, γ = 90.00°
Space group Fm-3m (No. 225)
One atom of each set of equivalent atoms:
1 Rb 0.2500 0.2500 0.2500 x8
2 Na 0.0000 0.0000 0.0000 x4
3 Co 0.0000 0.0000 0.5000 x4
4 F 0.0000 0.0000 0.2772 x24

Peak list (10 most intense, 10 to 80 degrees two-theta, low angle first)
d_spacing  Position (°2θ)  I (rel.)  hkl
4.888  18.15  161  1 1 1
4.233  20.99  40  2 0 0
2.993  29.85  1000  2 2 0
2.444  36.78  292  2 2 2
2.116  42.72  484  4 0 0
1.728  52.99  366  4 2 2
1.497  62.01  273  4 4 0
1.339  70.33  188  6 2 0
1.276  74.32  76  6 2 2
1.222  78.23  83  4 4 4

Record 4
Structure and simulated powder diffraction line list of CaNd3Cr4O16 (the GGA+U geometry in the Materials Project; Cu Kα (λ = 1.5418 Å)).
Intensities are scaled so that the largest is 1000.

Cell and atoms:
a = 7.4231 Å, b = 7.4231 Å, c = 6.4047 Å
α = 90.00°, β = 90.00°, γ = 90.00°
Space group P-4m2 (No. 115)
One atom of each set of equivalent atoms:
1 Ca 0.0000 0.0000 0.0000 x1
2 Nd 0.0000 0.5000 0.7517 x2
3 Nd 0.5000 0.5000 0.5000 x1
4 Cr 0.0000 0.0000 0.5000 x1
5 Cr 0.0000 0.5000 0.2465 x2
6 Cr 0.5000 0.5000 0.0000 x1
7 O 0.0000 0.1768 0.6595 x4
8 O 0.0000 0.3184 0.0809 x4
9 O 0.1792 0.5000 0.4217 x4
10 O 0.3191 0.5000 0.8314 x4

Peak list (10 most intense, 10 to 80 degrees two-theta, low angle first)
d_spacing  Position (°2θ)  I (rel.)  hkl
4.849  18.30  201  1 0 1
3.712  23.98  1000  2 0 0
2.734  32.76  641  1 1 2
2.624  34.16  193  2 2 0
2.308  39.03  140  3 0 1
1.893  48.06  554  3 1 2
1.856  49.09  153  4 0 0
1.660  55.35  122  4 2 0
1.535  60.28  165  3 3 2
1.325  71.14  123  5 1 2

Record 5
Structure and simulated powder diffraction line list of LiVF3 (the GGA+U geometry in the Materials Project; Cu Kα (λ = 1.5418 Å)).
Intensities are scaled so that the largest is 1000.

Cell and atoms:
a = 5.4558 Å, b = 7.8343 Å, c = 5.3667 Å
α = 90.00°, β = 90.00°, γ = 90.00°
Space group Pnma (No. 62)
One atom of each set of equivalent atoms:
1 Li 0.0156 0.2500 0.0129 x4
2 V 0.0000 0.0000 0.5000 x4
3 F 0.0937 0.7500 0.6368 x4
4 F 0.1663 0.5745 0.1624 x8

Peak list (10 most intense, 10 to 80 degrees two-theta, low angle first)
d_spacing  Position (°2θ)  I (rel.)  hkl
3.917  22.70  613  0 2 0
3.826  23.25  1000  1 0 1
2.737  32.72  564  1 2 1
2.408  37.35  224  1 0 2
2.348  38.33  283  0 3 1
1.913  47.53  245  2 0 2
1.743  52.49  303  1 4 1
1.719  53.29  221  2 2 2
1.577  58.54  295  3 2 1
1.559  59.26  370  1 2 3

Record 6
Structure and simulated powder diffraction line list of Ba5Y8Mn4O21 (the GGA+U geometry in the Materials Project; Cu Kα (λ = 1.5418 Å)).
Intensities are scaled so that the largest is 1000.

Cell and atoms:
a = 14.0455 Å, b = 14.0455 Å, c = 5.8139 Å
α = 90.00°, β = 90.00°, γ = 90.00°
Space group I4/m (No. 87)
One atom of each set of equivalent atoms:
1 Ba 0.0000 0.0000 0.0000 x2
2 Ba 0.0337 0.3608 0.5000 x8
3 Y 0.0897 0.8593 0.5000 x8
4 Y 0.1698 0.2487 0.0000 x8
5 Mn 0.0403 0.7519 0.0000 x8
6 O 0.0000 0.0000 0.5000 x2
7 O 0.0384 0.3727 0.0000 x8
8 O 0.0480 0.1774 0.2511 x16
9 O 0.1495 0.7439 0.2509 x16

Peak list (10 most intense, 10 to 80 degrees two-theta, low angle first)
d_spacing  Position (°2θ)  I (rel.)  hkl
3.236  27.56  267  2 3 1
3.141  28.42  130  2 4 0
2.939  30.41  1000  4 1 1
2.907  30.76  331  0 0 2
2.529  35.49  165  4 3 1
2.409  37.33  182  3 5 0
2.184  41.33  135  3 3 2
2.133  42.37  178  2 4 2
1.855  49.12  150  3 5 2
1.684  54.47  191  4 1 3